Simulated powder diffraction line list
Compound: NaYCo
Radiation: Cu Kα (weighted mean of Kα1 and Kα2)
Structure: DFT lattice parameters and positions (PBE)
Lines closer than 0.1° are merged.

Crystal structure
```
data_NaYCo
_space_group_name_H-M_alt 'C 1 2 1'
_space_group_IT_number 5
_cell_length_a 6.774
_cell_length_b 3.911
_cell_length_c 12.683
_cell_angle_alpha 90.00
_cell_angle_beta 90.02
_cell_angle_gamma 90.00
loop_
_space_group_symop_operation_xyz
'x,y,z'
'-x,y,-z'
'x+1/2,y+1/2,z'
'-x+1/2,y+1/2,-z'
loop_
_atom_site_label
_atom_site_type_symbol
_atom_site_fract_x
_atom_site_fract_y
_atom_site_fract_z
Na1 Na 0.166 0.000 0.380
Y1 Y 0.000 0.497 0.140
Co1 Co 0.166 0.997 0.000
```

Main lines, sorted by position (2θ = 5–70°):
hkl 0 0 1, 12.683 Å, 7.0 deg, I 100.0
hkl 0 0 2, 6.341 Å, 14.0 deg, I 4.9
hkl 1 1 2, 2.988 Å, 29.9 deg, I 5.8
hkl 1 1 -3, 2.643 Å, 33.9 deg, I 20.9
hkl 1 1 4, 2.315 Å, 38.9 deg, I 10.6
hkl 3 1 0, 1.956 Å, 46.4 deg, I 9.2
hkl 3 1 1, 1.933 Å, 47.0 deg, I 5.9
hkl 4 0 -3, 1.572 Å, 58.7 deg, I 4.0